Computed X-ray diffraction stick pattern
Compound: Co2Mo3O8
Radiation: Cu Kα, 1.54184 Å
Structure: a GGA+U-relaxed structure

Largest 12 diffraction maxima, in order of rising 2θ, 2θ from 10° to 90°:
- 2θ = 17.70°, 5.010 Å, I = 73, (0 0 2)
- 2θ = 24.95°, 3.569 Å, I = 100, (1 0 2)
- 2θ = 32.06°, 2.792 Å, I = 39, (1 0 3)
- 2θ = 35.30°, 2.542 Å, I = 27, (2 0 0)
- 2θ = 35.44°, 2.533 Å, I = 77, (1 1 2)
- 2θ = 36.46°, 2.464 Å, I = 88, (2 0 1)
- 2θ = 44.80°, 2.023 Å, I = 46, (2 0 3)
- 2θ = 51.19°, 1.784 Å, I = 26, (2 0 4)
- 2θ = 55.13°, 1.666 Å, I = 40, (2 1 3)
- 2θ = 57.39°, 1.606 Å, I = 23, (3 0 2)
- 2θ = 58.66°, 1.574 Å, I = 58, (2 0 5)
- 2θ = 63.36°, 1.468 Å, I = 36, (2 2 0)

Structural model:
abc: 5.8714 5.8714 10.0209
angles: 90.00 90.00 120.00
Element x y z (fractional)
Co (0.3333, 0.6667, 0.0000)
Co (0.3333, 0.6667, 0.4313)
Co (0.6667, 0.3333, 0.5000)
Co (0.6667, 0.3333, 0.9313)
Mo (0.1460, 0.2920, 0.7335)
Mo (0.1460, 0.8540, 0.7335)
Mo (0.2920, 0.1460, 0.2335)
Mo (0.7080, 0.8540, 0.7335)
Mo (0.8540, 0.1460, 0.2335)
Mo (0.8540, 0.7080, 0.2335)
O (0.0000, 0.0000, 0.3767)
O (0.0000, 0.0000, 0.8767)
O (0.0243, 0.5122, 0.8494)
O (0.1680, 0.3361, 0.1167)
O (0.1680, 0.8320, 0.1167)
O (0.3333, 0.6667, 0.6282)
O (0.3361, 0.1680, 0.6167)
O (0.4878, 0.5122, 0.8494)
O (0.4878, 0.9757, 0.8494)
O (0.5122, 0.0243, 0.3494)
O (0.5122, 0.4878, 0.3494)
O (0.6639, 0.8320, 0.1167)
O (0.6667, 0.3333, 0.1282)
O (0.8320, 0.1680, 0.6167)
O (0.8320, 0.6639, 0.6167)
O (0.9757, 0.4878, 0.3494)



Computed X-ray diffraction stick pattern
Compound: CoMo4O15
Radiation: Cu Kα, 1.54184 Å
Structure: a GGA+U-relaxed structure

Largest 12 diffraction maxima, in order of rising 2θ, 2θ from 10° to 90°:
- 2θ = 12.57°, 7.040 Å, I = 27, (0 1 0)
- 2θ = 17.34°, 5.115 Å, I = 43, (0 1 1)
- 2θ = 20.36°, 4.362 Å, I = 43, (1 1 0)
- 2θ = 22.08°, 4.025 Å, I = 100, (1 -1 1)
- 2θ = 25.52°, 3.491 Å, I = 51, (1 1 -1)
- 2θ = 27.13°, 3.287 Å, I = 63, (0 1 2)
- 2θ = 30.80°, 2.903 Å, I = 31, (1 2 1)
- 2θ = 32.09°, 2.789 Å, I = 19, (1 0 -2)
- 2θ = 44.70°, 2.027 Å, I = 21, (0 2 3)
- 2θ = 45.04°, 2.013 Å, I = 23, (2 -2 2)
- 2θ = 45.45°, 1.996 Å, I = 25, (2 2 -1)
- 2θ = 51.54°, 1.773 Å, I = 19, (3 1 0)

Structural model:
abc: 5.6162 7.0416 7.6283
angles: 89.55 76.77 88.72
Element x y z (fractional)
Co (0.0000, 0.0000, 0.0000)
Mo (0.1278, 0.6580, 0.6091)
Mo (0.4473, 0.6928, 0.1819)
Mo (0.5527, 0.3072, 0.8181)
Mo (0.8722, 0.3420, 0.3909)
O (0.0439, 0.8295, 0.7861)
O (0.1299, 0.1785, 0.4928)
O (0.1549, 0.5051, 0.3526)
O (0.2169, 0.8225, 0.1042)
O (0.2974, 0.1637, 0.8907)
O (0.3302, 0.5022, 0.6971)
O (0.3584, 0.7903, 0.4317)
O (0.5000, 0.5000, 0.0000)
O (0.6416, 0.2097, 0.5683)
O (0.6698, 0.4978, 0.3029)
O (0.7026, 0.8363, 0.1093)
O (0.7831, 0.1775, 0.8958)
O (0.8451, 0.4949, 0.6474)
O (0.8701, 0.8215, 0.5072)
O (0.9561, 0.1705, 0.2139)



Computed X-ray diffraction stick pattern
Compound: CoP3NO9
Radiation: Cu Kα, 1.54184 Å
Structure: a GGA+U-relaxed structure

Largest 12 diffraction maxima, in order of rising 2θ, 2θ from 10° to 90°:
- 2θ = 13.79°, 6.424 Å, I = 100, (0 0 2)
- 2θ = 15.16°, 5.843 Å, I = 33, (0 2 0)
- 2θ = 16.67°, 5.319 Å, I = 39, (0 2 1)
- 2θ = 19.44°, 4.566 Å, I = 12, (1 1 0)
- 2θ = 22.65°, 3.926 Å, I = 23, (1 0 2)
- 2θ = 23.91°, 3.722 Å, I = 15, (1 1 2)
- 2θ = 24.54°, 3.628 Å, I = 30, (1 2 1)
- 2θ = 27.37°, 3.259 Å, I = 32, (1 2 2)
- 2θ = 33.23°, 2.696 Å, I = 33, (1 0 4)
- 2θ = 33.70°, 2.659 Å, I = 12, (0 4 2)
- 2θ = 48.91°, 1.862 Å, I = 15, (0 6 2)
- 2θ = 59.15°, 1.562 Å, I = 10, (2 2 6)

Structural model:
abc: 4.9606 11.6862 12.8474
angles: 90.00 90.00 90.00
Element x y z (fractional)
Co (0.0000, 0.0000, 0.0000)
Co (0.0000, 0.0000, 0.5000)
Co (0.0000, 0.5000, 0.0000)
Co (0.0000, 0.5000, 0.5000)
P (0.2399, 0.2500, 0.0000)
P (0.2399, 0.2500, 0.5000)
P (0.4909, 0.5776, 0.1299)
P (0.4909, 0.5776, 0.3701)
P (0.4909, 0.9224, 0.6299)
P (0.4909, 0.9224, 0.8701)
P (0.5091, 0.0776, 0.1299)
P (0.5091, 0.0776, 0.3701)
P (0.5091, 0.4224, 0.6299)
P (0.5091, 0.4224, 0.8701)
P (0.7601, 0.7500, 0.0000)
P (0.7601, 0.7500, 0.5000)
N (0.0233, 0.7362, 0.7500)
N (0.0233, 0.7638, 0.2500)
N (0.9767, 0.2362, 0.7500)
N (0.9767, 0.2638, 0.2500)
O (0.0829, 0.1517, 0.5458)
O (0.0829, 0.1517, 0.9542)
O (0.0829, 0.3483, 0.0458)
O (0.0829, 0.3483, 0.4542)
O (0.1916, 0.5560, 0.1199)
O (0.1916, 0.5560, 0.3801)
O (0.1916, 0.9440, 0.6199)
O (0.1916, 0.9440, 0.8801)
O (0.3183, 0.5106, 0.5852)
O (0.3183, 0.5106, 0.9148)
O (0.3183, 0.9894, 0.0852)
O (0.3183, 0.9894, 0.4148)
O (0.4434, 0.0936, 0.2500)
O (0.4426, 0.2046, 0.0883)
O (0.4426, 0.2046, 0.4117)
O (0.4426, 0.2954, 0.5883)
O (0.4426, 0.2954, 0.9117)
O (0.4434, 0.4064, 0.7500)
O (0.5566, 0.5936, 0.2500)
O (0.5574, 0.7046, 0.0883)
O (0.5574, 0.7046, 0.4117)
O (0.5574, 0.7954, 0.5883)
O (0.5574, 0.7954, 0.9117)
O (0.5566, 0.9064, 0.7500)
O (0.6817, 0.0106, 0.5852)
O (0.6817, 0.0106, 0.9148)
O (0.6817, 0.4894, 0.0852)
O (0.6817, 0.4894, 0.4148)
O (0.8084, 0.0560, 0.1199)
O (0.8084, 0.0560, 0.3801)
O (0.8084, 0.4440, 0.6199)
O (0.8084, 0.4440, 0.8801)
O (0.9171, 0.6517, 0.5458)
O (0.9171, 0.6517, 0.9542)
O (0.9171, 0.8483, 0.0458)
O (0.9171, 0.8483, 0.4542)